Entry 1:
Calculated X-ray powder pattern
Compound: Ca3Be2
Radiation: Cu Kα
Structure: a crystal structure in Alexandria, relaxed with PBE
Peak positions follow from Bragg's law for the DFT cell and can differ from measured ones.

Crystal structure
```
Ca3Be2
1.0
4.9272 0.0000 0.0000
-2.4636 4.2670 0.0000
0.0000 0.0000 6.2874
Ca Be
3 2
Cartesian
0.0000 0.0000 0.0000
0.0000 2.8447 2.0943
2.4636 1.4223 4.1931
0.0000 2.8447 5.5304
2.4636 1.4223 0.7570
```

The 12 most intense peaks (10° ≤ 2θ ≤ 90°), by angle:
| Position (°2θ) | d (Å) | I (rel.) |
| --- | --- | --- |
| 25.22 | 3.531 | 100 |
| 35.47 | 2.531 | 56 |
| 36.47 | 2.464 | 53 |
| 43.16 | 2.096 | 8 |
| 44.86 | 2.020 | 19 |
| 51.79 | 1.765 | 17 |
| 57.75 | 1.596 | 18 |
| 59.14 | 1.562 | 16 |
| 63.02 | 1.475 | 8 |
| 64.99 | 1.435 | 16 |
| 65.64 | 1.422 | 8 |
| 88.22 | 1.108 | 7 |

Entry 2:
Calculated X-ray powder pattern
Compound: La2Pm4HoMg
Radiation: Cu Kα
Structure: a crystal structure in Alexandria, relaxed with PBE
Peak positions follow from Bragg's law for the DFT cell and can differ from measured ones.

Crystal structure
```
La2Pm4HoMg
1.0
6.2588 0.0000 0.0000
2.0563 6.8936 0.0000
0.0209 3.7296 6.1675
La Pm Ho Mg
2 4 1 1
Cartesian
0.0000 0.0000 0.0000
4.1707 6.2957 4.6421
1.0881 5.3167 3.1100
3.1176 0.9630 1.5553
4.1741 4.3983 1.5769
6.2296 1.8758 3.0725
7.2413 3.4641 0.0244
5.2075 9.6919 4.6376
```

The 12 most intense peaks (10° ≤ 2θ ≤ 90°), by angle:
| Position (°2θ) | d (Å) | I (rel.) |
| --- | --- | --- |
| 30.27 | 2.953 | 100 |
| 30.38 | 2.942 | 99 |
| 34.99 | 2.564 | 34 |
| 35.24 | 2.547 | 67 |
| 50.35 | 1.812 | 12 |
| 50.51 | 1.807 | 24 |
| 50.64 | 1.803 | 24 |
| 59.79 | 1.547 | 14 |
| 60.02 | 1.541 | 21 |
| 60.15 | 1.538 | 14 |
| 60.26 | 1.536 | 28 |
| 63.22 | 1.471 | 12 |

Entry 3:
Calculated X-ray powder pattern
Compound: HfSc3Rh2
Radiation: Cu Kα
Structure: a crystal structure in Alexandria, relaxed with PBE
Peak positions follow from Bragg's law for the DFT cell and can differ from measured ones.

Crystal structure
```
HfSc3Rh2
1.0
4.4728 0.0000 0.0000
0.0000 8.1920 0.0000
0.0000 0.0000 6.4697
Hf Sc Rh
2 6 4
Cartesian
0.0000 0.5994 0.0000
0.0000 7.5926 3.2349
0.0000 2.7016 4.0951
0.0000 5.4904 0.8602
2.2364 1.4112 2.1948
2.2364 3.4598 6.2701
2.2364 4.7322 3.0352
2.2364 6.7808 5.4297
0.0000 2.7722 1.4060
0.0000 5.4198 4.6409
2.2364 1.2332 4.8906
2.2364 6.9588 1.6557
```

The 12 most intense peaks (10° ≤ 2θ ≤ 90°), by angle:
| Position (°2θ) | d (Å) | I (rel.) |
| --- | --- | --- |
| 10.80 | 8.192 | 59 |
| 19.85 | 4.473 | 18 |
| 25.74 | 3.461 | 29 |
| 26.56 | 3.356 | 38 |
| 32.72 | 2.737 | 50 |
| 34.21 | 2.621 | 27 |
| 35.36 | 2.539 | 25 |
| 35.69 | 2.516 | 26 |
| 35.97 | 2.496 | 100 |
| 38.63 | 2.331 | 44 |
| 40.33 | 2.236 | 48 |
| 48.13 | 1.891 | 27 |

Entry 4:
Calculated X-ray powder pattern
Compound: Li4Mg5Zn
Radiation: Cu Kα
Structure: a crystal structure in Alexandria, relaxed with PBE
Peak positions follow from Bragg's law for the DFT cell and can differ from measured ones.

Crystal structure
```
Li4Mg5Zn
1.0
-4.6130 4.6130 2.6638
4.6130 -4.6130 2.6638
4.6130 4.6130 -2.6638
Li Mg Zn
4 5 1
Cartesian
2.8461 0.0000 0.0000
6.3799 0.0000 0.0000
0.0000 2.8461 0.0000
0.0000 6.3799 0.0000
0.0000 0.0000 1.1678
2.8780 2.8780 0.1898
1.7351 -1.7351 2.8536
-1.7351 1.7351 2.8536
1.7351 1.7351 2.8536
0.0000 0.0000 3.9605
```

The 12 most intense peaks (10° ≤ 2θ ≤ 90°), by angle:
| Position (°2θ) | d (Å) | I (rel.) |
| --- | --- | --- |
| 13.57 | 6.524 | 100 |
| 19.24 | 4.614 | 34 |
| 27.34 | 3.262 | 44 |
| 33.65 | 2.663 | 29 |
| 39.05 | 2.307 | 61 |
| 41.53 | 2.175 | 23 |
| 43.88 | 2.063 | 17 |
| 46.14 | 1.967 | 24 |
| 52.48 | 1.744 | 14 |
| 56.41 | 1.631 | 18 |
| 69.04 | 1.360 | 14 |
| 74.10 | 1.279 | 14 |

Entry 5:
Calculated X-ray powder pattern
Compound: Pa3Mn
Radiation: Cu Kα
Structure: a crystal structure in Alexandria, relaxed with PBE
Peak positions follow from Bragg's law for the DFT cell and can differ from measured ones.

Crystal structure
```
Pa3Mn
1.0
-1.6757 2.7704 4.5588
1.6757 -2.7704 4.5588
1.6757 2.7704 -4.5588
Pa Mn
3 1
Cartesian
0.0000 0.0000 0.0000
1.6757 0.0000 2.5908
0.0000 2.7704 1.9679
0.0000 0.0000 4.5588
```

The 12 most intense peaks (10° ≤ 2θ ≤ 90°), by angle:
| Position (°2θ) | d (Å) | I (rel.) |
| --- | --- | --- |
| 28.37 | 3.146 | 15 |
| 32.31 | 2.770 | 40 |
| 33.63 | 2.665 | 26 |
| 37.04 | 2.427 | 100 |
| 39.54 | 2.279 | 15 |
| 43.53 | 2.079 | 10 |
| 51.95 | 1.760 | 13 |
| 54.78 | 1.676 | 9 |
| 57.54 | 1.602 | 10 |
| 60.76 | 1.524 | 24 |
| 65.05 | 1.434 | 11 |
| 67.58 | 1.386 | 17 |

Entry 6:
Calculated X-ray powder pattern
Compound: Nb2GeRh5
Radiation: Cu Kα
Structure: a crystal structure in Alexandria, relaxed with PBE
Peak positions follow from Bragg's law for the DFT cell and can differ from measured ones.

Crystal structure
```
Nb2GeRh5
1.0
5.5358 0.0000 0.0000
0.0000 10.8505 0.0000
0.0000 0.0000 4.0142
Nb Ge Rh
4 2 10
Cartesian
0.9995 1.5404 0.0000
1.7684 6.9657 0.0000
3.7673 3.8849 0.0000
4.5363 9.3101 0.0000
0.0000 5.4253 2.0071
2.7679 0.0000 2.0071
0.0000 0.0000 2.0071
0.3404 8.0949 2.0071
1.0529 4.2567 0.0000
1.7150 9.6820 0.0000
2.4275 2.6696 2.0071
2.7679 5.4253 2.0071
3.1083 8.1809 2.0071
3.8208 1.1686 0.0000
4.4829 6.5938 0.0000
5.1954 2.7557 2.0071
```

The 12 most intense peaks (10° ≤ 2θ ≤ 90°), by angle:
| Position (°2θ) | d (Å) | I (rel.) |
| --- | --- | --- |
| 39.55 | 2.279 | 68 |
| 40.12 | 2.248 | 100 |
| 40.45 | 2.230 | 42 |
| 41.06 | 2.198 | 19 |
| 45.18 | 2.007 | 39 |
| 46.90 | 1.937 | 38 |
| 62.68 | 1.482 | 11 |
| 67.15 | 1.394 | 25 |
| 77.60 | 1.230 | 12 |
| 79.95 | 1.200 | 13 |
| 82.82 | 1.165 | 11 |
| 85.74 | 1.133 | 9 |

Entry 7:
Calculated X-ray powder pattern
Compound: Li2MnRh6
Radiation: Cu Kα
Structure: a crystal structure in Alexandria, relaxed with PBE
Peak positions follow from Bragg's law for the DFT cell and can differ from measured ones.

Crystal structure
```
Li2MnRh6
1.0
2.3105 -3.9953 0.0000
2.3105 3.9953 0.0000
0.0000 0.0000 6.6938
Li Mn Rh
2 1 6
Cartesian
1.1552 1.9977 1.1316
1.1552 -1.9977 5.5622
0.0000 0.0000 3.3469
1.1217 0.6676 5.5791
1.1217 -0.6676 1.1147
2.3105 1.3714 3.3469
2.3105 -1.3714 3.3469
3.4993 0.6676 1.1147
3.4993 -0.6676 5.5791
```

The 12 most intense peaks (10° ≤ 2θ ≤ 90°), by angle:
| Position (°2θ) | d (Å) | I (rel.) |
| --- | --- | --- |
| 25.95 | 3.433 | 50 |
| 34.96 | 2.567 | 23 |
| 39.02 | 2.308 | 15 |
| 40.43 | 2.231 | 40 |
| 41.37 | 2.182 | 100 |
| 45.36 | 1.999 | 11 |
| 47.87 | 1.900 | 65 |
| 57.44 | 1.604 | 10 |
| 69.36 | 1.355 | 21 |
| 72.28 | 1.307 | 18 |
| 77.01 | 1.238 | 15 |
| 83.47 | 1.158 | 12 |

Entry 8:
Calculated X-ray powder pattern
Compound: TbSc6Al3
Radiation: Cu Kα
Structure: a crystal structure in Alexandria, relaxed with PBE
Peak positions follow from Bragg's law for the DFT cell and can differ from measured ones.

Crystal structure
```
TbSc6Al3
1.0
5.7036 -5.8050 0.0000
5.7036 5.8050 0.0000
0.0000 0.0000 7.0410
Tb Sc Al
2 12 6
Cartesian
5.7036 3.2507 3.5205
5.7036 -3.2507 0.0000
3.3278 2.3094 5.7003
2.3468 0.3686 3.4920
5.7036 3.4223 0.2190
2.3468 -0.3686 7.0125
5.7036 0.2431 6.4098
3.3278 -2.3094 2.1798
8.0795 2.3094 5.7003
5.7036 -0.2431 2.8893
9.0604 0.3686 3.4920
5.7036 -3.4223 3.7395
9.0604 -0.3686 7.0125
8.0795 -2.3094 2.1798
5.7036 5.7253 5.3564
4.0518 1.3982 1.3472
4.0518 -1.3982 4.8677
7.3554 1.3982 1.3472
7.3554 -1.3982 4.8677
5.7036 -5.7253 1.8359
```

The 12 most intense peaks (10° ≤ 2θ ≤ 90°), by angle:
| Position (°2θ) | d (Å) | I (rel.) |
| --- | --- | --- |
| 16.65 | 5.324 | 37 |
| 21.85 | 4.068 | 22 |
| 25.29 | 3.521 | 24 |
| 27.44 | 3.251 | 32 |
| 27.75 | 3.215 | 40 |
| 29.82 | 2.996 | 23 |
| 31.37 | 2.852 | 29 |
| 33.03 | 2.712 | 38 |
| 33.67 | 2.662 | 100 |
| 35.35 | 2.539 | 25 |
| 40.72 | 2.216 | 18 |
| 44.55 | 2.034 | 25 |

Entry 9:
Calculated X-ray powder pattern
Compound: SbSCl9
Radiation: Cu Kα
Structure: a crystal structure in Alexandria, relaxed with PBE
Peak positions follow from Bragg's law for the DFT cell and can differ from measured ones.

Crystal structure
```
SbSCl9
1.0
5.6537 3.2641 6.3682
-5.6537 3.2641 6.3682
0.0000 -6.5283 6.3682
Sb S Cl
2 2 18
Cartesian
0.0000 0.0000 0.0000
0.0000 0.0000 9.5523
0.0000 0.0000 3.8754
0.0000 0.0000 15.2292
-3.9438 -2.2770 11.3395
0.0000 -1.8088 4.7403
-1.5664 0.9044 4.7403
0.0000 -4.5539 7.7650
-3.9438 2.2770 7.7650
-1.7083 -0.9863 8.1580
1.5664 0.9044 4.7403
0.0000 -1.9726 10.9465
-1.7083 0.9863 10.9465
1.7083 -0.9863 8.1580
0.0000 1.9726 8.1580
-1.5664 -0.9044 14.3643
1.7083 0.9863 10.9465
3.9438 -2.2770 11.3395
0.0000 4.5539 11.3395
1.5664 -0.9044 14.3643
0.0000 1.8087 14.3643
3.9438 2.2770 7.7650
```

The 12 most intense peaks (10° ≤ 2θ ≤ 90°), by angle:
| Position (°2θ) | d (Å) | I (rel.) |
| --- | --- | --- |
| 12.95 | 6.838 | 34 |
| 15.67 | 5.654 | 100 |
| 20.69 | 4.293 | 36 |
| 26.06 | 3.419 | 14 |
| 30.56 | 2.926 | 13 |
| 30.78 | 2.905 | 61 |
| 39.54 | 2.279 | 31 |
| 42.78 | 2.114 | 13 |
| 44.73 | 2.026 | 8 |
| 48.29 | 1.885 | 19 |
| 51.34 | 1.780 | 11 |
| 51.50 | 1.774 | 11 |

Entry 10:
Calculated X-ray powder pattern
Compound: Mg3Tl4F10
Radiation: Cu Kα
Structure: a crystal structure in Alexandria, relaxed with PBE
Peak positions follow from Bragg's law for the DFT cell and can differ from measured ones.

Crystal structure
```
Mg3Tl4F10
1.0
-2.0580 2.0580 15.5199
2.0580 -2.0580 15.5199
2.0580 2.0580 -15.5199
Mg Tl F
3 4 10
Cartesian
0.0000 0.0000 0.0000
0.0000 0.0000 4.1708
0.0000 0.0000 26.8691
0.0000 0.0000 9.1931
0.0000 0.0000 13.4260
0.0000 0.0000 17.6138
0.0000 0.0000 21.8468
2.0580 0.0000 0.0000
0.0000 0.0000 2.0843
2.0580 0.0000 4.1856
0.0000 0.0000 6.1733
2.0580 0.0000 11.3343
0.0000 2.0580 0.0000
0.0000 2.0580 4.1856
0.0000 0.0000 24.8665
0.0000 2.0580 11.3343
0.0000 0.0000 28.9555
```

The 12 most intense peaks (10° ≤ 2θ ≤ 90°), by angle:
| Position (°2θ) | d (Å) | I (rel.) |
| --- | --- | --- |
| 21.78 | 4.080 | 49 |
| 22.92 | 3.880 | 25 |
| 29.61 | 3.017 | 100 |
| 30.72 | 2.910 | 56 |
| 38.67 | 2.328 | 51 |
| 44.00 | 2.058 | 34 |
| 49.29 | 1.849 | 17 |
| 50.18 | 1.818 | 13 |
| 51.83 | 1.764 | 17 |
| 53.93 | 1.700 | 39 |
| 61.47 | 1.508 | 15 |
| 68.19 | 1.375 | 14 |

Entry 11:
Calculated X-ray powder pattern
Compound: TbPr4Ga4
Radiation: Cu Kα
Structure: a crystal structure in Alexandria, relaxed with PBE
Peak positions follow from Bragg's law for the DFT cell and can differ from measured ones.

Crystal structure
```
TbPr4Ga4
1.0
-5.2040 5.2040 2.4091
5.2040 -5.2040 2.4091
5.2040 5.2040 -2.4091
Tb Pr Ga
1 4 4
Cartesian
0.0000 0.0000 0.0000
6.7331 1.3977 0.0000
1.3977 3.6749 0.0000
3.8062 1.5291 2.4091
-1.5291 3.8062 2.4091
4.4811 3.4753 0.0000
1.7287 -0.7229 2.4091
3.4753 5.9269 0.0000
0.7229 1.7287 2.4091
```

The 12 most intense peaks (10° ≤ 2θ ≤ 90°), by angle:
| Position (°2θ) | d (Å) | I (rel.) |
| --- | --- | --- |
| 26.63 | 3.348 | 100 |
| 27.09 | 3.291 | 45 |
| 31.78 | 2.815 | 17 |
| 34.47 | 2.602 | 16 |
| 36.28 | 2.476 | 62 |
| 37.33 | 2.409 | 31 |
| 40.34 | 2.236 | 34 |
| 46.73 | 1.944 | 21 |
| 49.54 | 1.840 | 12 |
| 57.13 | 1.612 | 14 |
| 68.68 | 1.367 | 13 |
| 80.86 | 1.189 | 17 |

Entry 12:
Calculated X-ray powder pattern
Compound: Li3AcTl
Radiation: Cu Kα
Structure: a crystal structure in Alexandria, relaxed with PBE
Peak positions follow from Bragg's law for the DFT cell and can differ from measured ones.

Crystal structure
```
Li3AcTl
1.0
8.8497 0.0000 0.0000
0.0000 4.8881 0.0000
0.0000 0.0000 12.1258
Li Ac Tl
12 4 4
Cartesian
0.4955 1.2220 1.2528
0.9331 3.6661 3.3617
1.2526 3.6661 8.8414
3.1723 1.2220 2.7786
3.4918 1.2220 9.4246
3.9293 3.6661 7.3156
4.9204 1.2220 4.8101
5.3579 3.6661 2.7012
5.6774 3.6661 9.3472
7.5971 1.2220 3.2843
7.9166 1.2220 8.7641
8.3542 3.6661 10.8730
1.6442 1.2220 6.1774
2.7807 3.6661 0.1145
6.0690 1.2220 12.0113
7.2055 3.6661 5.9484
1.0456 1.2220 10.5998
3.3792 3.6661 4.5369
5.4705 1.2220 7.5889
7.8041 3.6661 1.5260
```

The 12 most intense peaks (10° ≤ 2θ ≤ 90°), by angle:
| Position (°2θ) | d (Å) | I (rel.) |
| --- | --- | --- |
| 14.61 | 6.063 | 66 |
| 19.58 | 4.534 | 37 |
| 21.38 | 4.157 | 29 |
| 22.03 | 4.035 | 27 |
| 24.21 | 3.677 | 35 |
| 25.48 | 3.496 | 30 |
| 27.18 | 3.280 | 91 |
| 30.42 | 2.938 | 100 |
| 31.00 | 2.885 | 29 |
| 36.33 | 2.473 | 27 |
| 36.77 | 2.444 | 32 |
| 42.86 | 2.110 | 36 |